# 1
The following is a theoretical powder diffraction line list of K2Na9Au3. It was derived from a DFT-relaxed cell (GGA-PBE, Alexandria), using copper Kα.

Main lines, by angle (10 to 90 degrees two-theta):
2θ = 15.4°, I = 80.7, hkl 0 0 2; 2θ = 18.8°, I = 100.0, hkl 3 1 -1; 2θ = 24.2°, I = 55.0, hkl 3 1 -3; 2θ = 24.6°, I = 49.5, hkl 3 1 1; 2θ = 25.0°, I = 54.5, hkl 0 2 2; 2θ = 33.7°, I = 59.7, hkl 3 3 -1

a b c (Å): 16.5422 9.0942 12.8634
angles (deg): 90.00 116.53 90.00
Space group C2/c (No. 15)
Inequivalent atoms, fractional coordinates:
K 0.1860 0.0637 0.2469 x8
Na 0.0000 0.3141 0.2500 x4
Na 0.0594 0.0642 0.9258 x8
Na 0.0907 0.4041 0.0307 x8
Na 0.1057 0.3188 0.7522 x8
Na 0.2260 0.4116 0.4418 x8
Au 0.0943 0.2474 0.5176 x8
Au 0.2500 0.2500 0.0000 x4

=====

# 2
The following is a theoretical powder diffraction line list of KNa6Au2. It was derived from a DFT-relaxed cell (GGA-PBE, Alexandria), using copper Kα.

Main lines, by angle (10 to 90 degrees two-theta):
2θ = 17.9°, I = 100.0, hkl 1 0 0; 2θ = 19.4°, I = 82.3, hkl 1 0 1; 2θ = 25.4°, I = 54.0, hkl 1 1 0; 2θ = 26.5°, I = 54.9, hkl 1 1 1; 2θ = 35.6°, I = 56.3, hkl 1 0 4; 2θ = 36.2°, I = 49.5, hkl 2 0 0

a b c (Å): 4.9686 4.9686 11.7043
angles (deg): 90.00 90.00 90.00
Space group P4/mmm (No. 123)
Inequivalent atoms, fractional coordinates:
K 0.0000 0.0000 0.0000 x1
Na 0.0000 0.0000 0.5000 x1
Na 0.0000 0.5000 0.2626 x4
Na 0.5000 0.5000 0.5000 x1
Au 0.5000 0.5000 0.1182 x2

=====

# 3
The following is a theoretical powder diffraction line list of K3Na6Au2. It was derived from a DFT-relaxed cell (GGA-PBE, Alexandria), using copper Kα.

Main lines, by angle (10 to 90 degrees two-theta):
2θ = 16.9°, I = 100.0, hkl 1 0 1; 2θ = 18.8°, I = 36.6, hkl 1 0 3; 2θ = 23.6°, I = 45.3, hkl 1 1 0; 2θ = 31.3°, I = 43.2, hkl 1 0 9; 2θ = 33.7°, I = 37.1, hkl 2 0 0; 2θ = 37.9°, I = 46.9, hkl 1 1 10

a b c (Å): 5.3212 5.3212 30.5481
angles (deg): 90.00 90.00 90.00
Space group I4/mmm (No. 139)
Inequivalent atoms, fractional coordinates:
K 0.0000 0.0000 0.0000 x2
K 0.0000 0.0000 0.2049 x4
Na 0.0000 0.0000 0.3434 x4
Na 0.0000 0.5000 0.0888 x8
Au 0.0000 0.0000 0.4546 x4

=====

# 4
The following is a theoretical powder diffraction line list of K2Na5Au3. It was derived from a DFT-relaxed cell (GGA-PBE, Alexandria), using copper Kα.

Main lines, by angle (10 to 90 degrees two-theta):
2θ = 20.8°, I = 70.2, hkl 0 6 1; 2θ = 21.2°, I = 59.3, hkl 1 1 1; 2θ = 22.8°, I = 54.1, hkl 1 3 1; 2θ = 29.7°, I = 100.0, hkl 1 3 2; 2θ = 38.7°, I = 46.3, hkl 1 3 3; 2θ = 39.3°, I = 53.7, hkl 1 9 2

a b c (Å): 4.9407 30.1011 8.1922
angles (deg): 90.00 90.00 90.00
Space group Cmc2_1 (No. 36)
Inequivalent atoms, fractional coordinates:
K 0.0000 0.0237 0.0000 x4
K 0.0000 0.3223 0.0743 x4
Na 0.0000 0.0955 0.3783 x4
Na 0.0000 0.2068 0.8751 x4
Na 0.0000 0.2103 0.2686 x4
Na 0.0000 0.3715 0.5347 x4
Na 0.0000 0.4433 0.1672 x4
Au 0.0000 0.1123 0.7549 x4
Au 0.0000 0.2669 0.5739 x4
Au 0.0000 0.4583 0.7900 x4

=====

# 5
The following is a theoretical powder diffraction line list of K3NaAu4. It was derived from a DFT-relaxed cell (GGA-PBE, Alexandria), using copper Kα.

Main lines, by angle (10 to 90 degrees two-theta):
2θ = 16.5°, I = 100.0, hkl 0 1 0; 2θ = 21.4°, I = 53.5, hkl 0 1 2; 2θ = 22.9°, I = 68.5, hkl 1 0 1; 2θ = 30.2°, I = 54.2, hkl 1 2 1; 2θ = 32.9°, I = 72.6, hkl 1 1 3; 2θ = 34.3°, I = 75.2, hkl 1 2 -1

a b c (Å): 4.9234 6.1118 9.7844
angles (deg): 75.64 89.96 66.25
Space group P-1 (No. 2)
Inequivalent atoms, fractional coordinates:
K 0.0000 0.0000 0.0000 x1
K 0.2574 0.4852 0.7149 x2
Na 0.5000 0.0000 0.5000 x1
Au 0.0478 0.9044 0.3564 x2
Au 0.4256 0.1486 0.1929 x2

=====

# 6
The following is a theoretical powder diffraction line list of KNa5Au2. It was derived from a DFT-relaxed cell (GGA-PBE, Alexandria), using copper Kα.

Main lines, by angle (10 to 90 degrees two-theta):
2θ = 15.4°, I = 77.9, hkl 0 0 2; 2θ = 19.0°, I = 55.4, hkl 0 2 0; 2θ = 21.2°, I = 62.3, hkl 1 1 0; 2θ = 26.3°, I = 100.0, hkl 1 1 2; 2θ = 37.9°, I = 38.4, hkl 1 1 4; 2θ = 38.0°, I = 52.3, hkl 1 3 2

a b c (Å): 4.6929 9.3564 11.5247
angles (deg): 90.00 90.00 90.00
Space group Immm (No. 71)
Inequivalent atoms, fractional coordinates:
K 0.0000 0.0000 0.0000 x2
Na 0.0000 0.1841 0.3345 x8
Na 0.0000 0.5000 0.0000 x2
Au 0.0000 0.5000 0.2609 x4

=====

# 7
The following is a theoretical powder diffraction line list of K2Na9Au6. It was derived from a DFT-relaxed cell (GGA-PBE, Alexandria), using copper Kα.

Main lines, by angle (10 to 90 degrees two-theta):
2θ = 15.0°, I = 59.4, hkl 1 0 0; 2θ = 19.5°, I = 35.5, hkl 0 0 3; 2θ = 26.2°, I = 70.4, hkl 1 1 0; 2θ = 32.9°, I = 100.0, hkl 1 1 3; 2θ = 48.1°, I = 27.4, hkl 1 1 6; 2θ = 50.6°, I = 29.7, hkl 3 0 3

a b c (Å): 6.8097 6.8097 13.6420
angles (deg): 90.00 90.00 120.00
Space group P6/mmm (No. 191)
Inequivalent atoms, fractional coordinates:
K 0.0000 0.0000 0.1702 x2
Na 0.0000 0.5000 0.0000 x3
Na 0.0000 0.5000 0.3380 x6
Au 0.3333 0.6667 0.1705 x4
Au 0.3333 0.6667 0.5000 x2

=====

# 8
The following is a theoretical powder diffraction line list of K14NaAu. It was derived from a DFT-relaxed cell (GGA-PBE, Alexandria), using copper Kα.

Main lines, by angle (10 to 90 degrees two-theta):
2θ = 10.1°, I = 40.7, hkl 0 1 1; 2θ = 12.2°, I = 71.3, hkl 0 0 2; 2θ = 21.4°, I = 29.9, hkl 1 2 2; 2θ = 24.5°, I = 100.0, hkl 2 2 2; 2θ = 29.1°, I = 39.2, hkl 3 2 2; 2θ = 32.7°, I = 23.3, hkl 3 3 1

a b c (Å): 12.8166 11.0898 14.4544
angles (deg): 90.00 90.00 90.00
Space group Amm2 (No. 38)
Inequivalent atoms, fractional coordinates:
K 0.0000 0.0000 0.0000 x2
K 0.0000 0.0000 0.4686 x2
K 0.0000 0.2092 0.7332 x4
K 0.2322 0.0000 0.2294 x4
K 0.2900 0.0000 0.8094 x4
K 0.3175 0.1872 0.5320 x8
K 0.5000 0.2248 0.2722 x4
Na 0.5000 0.0000 0.0304 x2
Au 0.5000 0.0000 0.6539 x2